For Hg3PdI9, a cell relaxed with PBE gives the calculated X-ray diffraction stick pattern in this record (Cu Kα).
No peak broadening, texture or thermal motion is included.

Atomic structure:
a b c (Å): 10.723 10.723 12.058
angles (deg): 90.00 90.00 97.38
Sites, in units of the cell vectors:
Hg (0.119, 0.337, 0.354)
Hg (0.209, 0.791, 0.750)
Hg (0.337, 0.119, 0.646)
Hg (0.663, 0.881, 0.146)
Hg (0.791, 0.209, 0.250)
Hg (0.881, 0.663, 0.854)
Pd (0.294, 0.706, 0.250)
Pd (0.706, 0.294, 0.750)
I (0.044, 0.234, 0.141)
I (0.091, 0.762, 0.346)
I (0.126, 0.126, 0.500)
I (0.137, 0.594, 0.898)
I (0.234, 0.044, 0.859)
I (0.238, 0.909, 0.154)
I (0.329, 0.517, 0.382)
I (0.406, 0.863, 0.602)
I (0.483, 0.671, 0.118)
I (0.517, 0.329, 0.618)
I (0.594, 0.137, 0.102)
I (0.671, 0.483, 0.882)
I (0.762, 0.091, 0.654)
I (0.766, 0.956, 0.359)
I (0.863, 0.406, 0.398)
I (0.874, 0.874, 0.000)
I (0.909, 0.238, 0.846)
I (0.956, 0.766, 0.641)

Top 12 peaks for 10 to 80 degrees two-theta, low angle first:
2θ (°)  d_spacing  Rel. int.
11.1  7.976  32
13.2  6.698  100
16.9  5.245  76
22.3  3.988  28
26.2  3.399  35
26.5  3.362  40
29.2  3.054  22
29.7  3.009  46
33.7  2.659  27
36.6  2.456  22
38.9  2.313  33
41.1  2.196  23

***

For PmSnHgI6, a cell relaxed with PBE gives the calculated X-ray diffraction stick pattern in this record (Cu Kα).
No peak broadening, texture or thermal motion is included.

Atomic structure:
a b c (Å): 7.927 7.927 7.393
angles (deg): 90.01 90.01 119.93
Sites, in units of the cell vectors:
Pm (0.000, 0.000, 0.000)
Sn (0.333, 0.667, 0.000)
Hg (0.667, 0.333, 0.500)
I (0.013, 0.329, 0.758)
I (0.013, 0.685, 0.243)
I (0.315, 0.328, 0.243)
I (0.315, 0.987, 0.757)
I (0.671, 0.987, 0.242)
I (0.672, 0.685, 0.757)

Top 12 peaks for 10 to 80 degrees two-theta, low angle first:
2θ (°)  d_spacing  Rel. int.
17.6  5.032  63
25.5  3.494  100
28.7  3.114  19
33.1  2.704  85
36.7  2.449  23
39.4  2.289  54
43.2  2.093  24
47.5  1.915  17
52.4  1.747  23
63.3  1.469  13
64.8  1.438  24
67.4  1.389  21

***

For Hg2Pt2I, a cell relaxed with PBE gives the calculated X-ray diffraction stick pattern in this record (Cu Kα).
No peak broadening, texture or thermal motion is included.

Atomic structure:
a b c (Å): 7.542 7.542 3.741
angles (deg): 90.00 90.00 90.00
Sites, in units of the cell vectors:
Hg (0.159, 0.341, 0.000)
Hg (0.341, 0.841, 0.000)
Hg (0.659, 0.159, 0.000)
Hg (0.841, 0.659, 0.000)
Pt (0.137, 0.637, 0.500)
Pt (0.363, 0.137, 0.500)
Pt (0.637, 0.863, 0.500)
Pt (0.863, 0.363, 0.500)
I (0.000, 0.000, 0.500)
I (0.500, 0.500, 0.500)

Top 12 peaks for 10 to 80 degrees two-theta, low angle first:
2θ (°)  d_spacing  Rel. int.
16.6  5.333  10
33.7  2.656  9
35.8  2.505  100
37.7  2.385  37
48.3  1.886  8
48.7  1.870  12
50.0  1.826  7
51.4  1.778  8
56.0  1.643  9
63.2  1.472  17
72.0  1.312  19
73.5  1.289  5